The following is a calculated powder XRD pattern of GdGaO3. It was derived from a PBE-relaxed structure, using a wavelength of 1.5418 Å.
Lines closer than 0.1° are merged.

Peak list (6 most intense, 2θ = 5–70°, low angle first)
hkl 1 0 1, 19.94 deg, intensity 22.3; hkl 1 0 4, 31.17 deg, intensity 100.0; hkl 1 1 0, 33.17 deg, intensity 86.2; hkl 0 2 4, 46.15 deg, intensity 39.1; hkl 2 1 4, 58.01 deg, intensity 37.3; hkl 3 0 0, 59.26 deg, intensity 25.2

Crystal structure
Cell lengths 5.4020, 5.4020, 14.5341 Å; angles 90.00, 90.00, 120.00 degrees
Space group R-3 (No. 148, hexagonal axes)
Symmetry-distinct sites (fractional):
Gd1 0.0000 0.0000 0.1322
Ga1 0.0000 0.0000 0.3483
O1 0.0183 0.3918 0.9223

=====

The following is a calculated powder XRD pattern of GdZnGa2Pd4. It was derived from a PBE-relaxed structure, using a wavelength of 1.5418 Å.
Lines closer than 0.1° are merged.

Peak list (6 most intense, 2θ = 5–70°, low angle first)
hkl 1 1 1, 31.13 deg, intensity 7.4; hkl 1 1 2, 39.51 deg, intensity 100.0; hkl 2 0 0, 39.81 deg, intensity 51.9; hkl 0 0 4, 56.65 deg, intensity 7.1; hkl 2 2 0, 57.56 deg, intensity 17.3; hkl 2 0 3, 59.01 deg, intensity 4.2

Crystal structure
Cell lengths 4.529, 4.529, 6.499 Å; angles 90.00, 90.00, 90.00 degrees
Space group P4/mmm (No. 123)
Symmetry-distinct sites (fractional):
Gd1 0.000 0.000 0.000
Zn1 0.500 0.500 0.500
Ga1 0.000 0.000 0.500
Ga2 0.500 0.500 0.000
Pd1 0.000 0.500 0.276

=====

The following is a calculated powder XRD pattern of SrGdGa4Pt2. It was derived from a PBE-relaxed structure, using a wavelength of 1.5418 Å.
Lines closer than 0.1° are merged.

Peak list (6 most intense, 2θ = 5–70°, low angle first)
hkl 2 1 1, 34.11 deg, intensity 77.1; hkl 1 1 3, 35.32 deg, intensity 100.0; hkl 1 0 4, 36.77 deg, intensity 50.6; hkl 0 2 0, 40.97 deg, intensity 45.4; hkl 2 1 3, 42.19 deg, intensity 42.4; hkl 3 1 1, 45.33 deg, intensity 32.3

Crystal structure
Cell lengths 6.897, 4.406, 10.454 Å; angles 90.00, 90.00, 90.00 degrees
Space group Amm2 (No. 38)
Symmetry-distinct sites (fractional):
Sr1 0.000 0.000 0.000
Gd1 0.500 0.000 0.840
Ga1 0.199 0.000 0.285
Ga2 0.309 0.000 0.558
Pt1 0.000 0.000 0.715
Pt2 0.500 0.000 0.127

=====

The following is a calculated powder XRD pattern of Gd4GaSbS9. It was derived from a PBE-relaxed structure, using a wavelength of 1.5418 Å.
Lines closer than 0.1° are merged.

Peak list (6 most intense, 2θ = 5–70°, low angle first)
hkl 0 0 4, 25.01 deg, intensity 60.5; hkl 3 2 2, 26.58 deg, intensity 100.0; hkl 4 1 1, 27.69 deg, intensity 29.2; hkl 3 3 3, 33.43 deg, intensity 46.8; hkl 0 4 4, 36.06 deg, intensity 41.4; hkl 7 2 2, 50.40 deg, intensity 47.7

Crystal structure
Cell lengths 13.603, 13.939, 14.243 Å; angles 90.00, 90.00, 90.00 degrees
Space group Aea2 (No. 41)
Symmetry-distinct sites (fractional):
Gd1 0.100 0.172 0.000
Gd2 0.104 0.110 0.548
Gd3 0.185 0.166 0.281
Gd4 0.188 0.391 0.508
Ga1 0.091 0.395 0.772
Sb1 0.113 0.418 0.235
S1 0.000 0.000 0.364
S2 0.000 0.000 0.995
S3 0.012 0.196 0.179
S4 0.069 0.254 0.424
S5 0.082 0.093 0.744
S6 0.100 0.409 0.062
S7 0.189 0.301 0.867
S8 0.198 0.487 0.684
S9 0.245 0.233 0.614
S10 0.247 0.058 0.929

=====

The following is a calculated powder XRD pattern of GdTlGaSe3. It was derived from a PBE-relaxed structure, using a wavelength of 1.5418 Å.
Lines closer than 0.1° are merged.

Peak list (6 most intense, 2θ = 5–70°, low angle first)
hkl 0 2 2, 20.57 deg, intensity 48.9; hkl 1 3 1, 28.55 deg, intensity 100.0; hkl 1 3 2, 31.93 deg, intensity 93.7; hkl 0 0 4, 32.59 deg, intensity 36.0; hkl 2 0 0, 39.42 deg, intensity 40.1; hkl 1 5 2, 41.30 deg, intensity 38.8

Crystal structure
Cell lengths 4.572, 13.961, 10.991 Å; angles 90.00, 90.00, 90.00 degrees
Space group Cmcm (No. 63)
Symmetry-distinct sites (fractional):
Gd1 0.000 0.000 0.000
Tl1 0.000 0.252 0.250
Ga1 0.000 0.485 0.750
Se1 0.000 0.070 0.750
Se2 0.000 0.374 0.568

=====

The following is a calculated powder XRD pattern of TbGdGa. It was derived from a PBE-relaxed structure, using a wavelength of 1.5418 Å.
Lines closer than 0.1° are merged.

Peak list (6 most intense, 2θ = 5–70°, low angle first)
hkl 2 0 0, 25.28 deg, intensity 47.9; hkl 2 2 0, 36.06 deg, intensity 100.0; hkl 2 2 2, 44.55 deg, intensity 14.2; hkl 4 0 0, 51.91 deg, intensity 17.6; hkl 4 2 0, 58.59 deg, intensity 19.1; hkl 4 2 2, 64.83 deg, intensity 35.9

Crystal structure
Cell lengths 7.046, 7.046, 7.046 Å; angles 90.00, 90.00, 90.00 degrees
Space group F-43m (No. 216)
Symmetry-distinct sites (fractional):
Tb1 0.000 0.000 0.000
Gd1 0.000 0.000 0.500
Ga1 0.250 0.250 0.750

=====

Copy entry 2 word for word.
The following is a calculated powder XRD pattern of GdZnGa2Pd4. It was derived from a PBE-relaxed structure, using a wavelength of 1.5418 Å.
Lines closer than 0.1° are merged.

Peak list (6 most intense, 2θ = 5–70°, low angle first)
hkl 1 1 1, 31.13 deg, intensity 7.4; hkl 1 1 2, 39.51 deg, intensity 100.0; hkl 2 0 0, 39.81 deg, intensity 51.9; hkl 0 0 4, 56.65 deg, intensity 7.1; hkl 2 2 0, 57.56 deg, intensity 17.3; hkl 2 0 3, 59.01 deg, intensity 4.2

Crystal structure
Cell lengths 4.529, 4.529, 6.499 Å; angles 90.00, 90.00, 90.00 degrees
Space group P4/mmm (No. 123)
Symmetry-distinct sites (fractional):
Gd1 0.000 0.000 0.000
Zn1 0.500 0.500 0.500
Ga1 0.000 0.000 0.500
Ga2 0.500 0.500 0.000
Pd1 0.000 0.500 0.276